Theoretical powder diffractogram of VCdCoF6 for Cu Ka, from DFT lattice parameters and positions (GGA+U).
Kinematic intensities with the Lorentz-polarization factor, no thermal factor.

Peak list (6 most intense, 2θ = 5–70°, by angle)
d 3.360, rel. 100.0, (1 0 2)
d 2.726, rel. 27.1, (1 1 0)
d 2.117, rel. 26.2, (2 0 2)
d 1.798, rel. 41.6, (1 1 4)
d 1.672, rel. 24.4, (2 1 2)
d 1.574, rel. 17.9, (3 0 0)

Atomic structure:
Cell lengths 5.4511, 5.4511, 9.5650 Å; angles 90.00, 90.00, 120.00 degrees
Element x y z (fractional)
V: 0.3333 0.6667 0.2500
V: 0.6667 0.3333 0.7500
Cd: 0.0000 0.0000 0.0000
Cd: 0.0000 0.0000 0.5000
Co: 0.3333 0.6667 0.7500
Co: 0.6667 0.3333 0.2500
F: 0.0081 0.3502 0.6354
F: 0.0081 0.6579 0.8646
F: 0.3421 0.3502 0.8646
F: 0.3421 0.9919 0.6354
F: 0.3502 0.0081 0.1354
F: 0.3502 0.3421 0.3646
F: 0.6498 0.6579 0.6354
F: 0.6498 0.9919 0.8646
F: 0.6579 0.0081 0.3646
F: 0.6579 0.6498 0.1354
F: 0.9919 0.3421 0.1354
F: 0.9919 0.6498 0.3646